(1)
For Pm2TlCd16, a cell relaxed with GGA-PBE gives the calculated X-ray powder pattern in this record (Cu Kα (λ = 1.5418 Å)).
Kinematic intensities with the Lorentz-polarization factor, no thermal factor.

Peak list (10 most intense, 10° ≤ 2θ ≤ 90°, in order of falling intensity)
35.4°, intensity 100, (0 3 3)
39.7°, intensity 52, (2 2 3)
35.2°, intensity 51, (2 2 0)
30.4°, intensity 43, (3 0 0)
36.2°, intensity 40, (0 0 6)
36.4°, intensity 25, (2 0 5)
64.6°, intensity 24, (0 3 9)
63.2°, intensity 22, (6 0 0)
31.4°, intensity 19, (0 2 4)
40.4°, intensity 16, (1 1 6)

Structure:
Cell: 10.1993 10.1993 14.8895 Å, 90.00 90.00 120.00°
Space group R3m (No. 160, hexagonal axes)
Symmetry-distinct sites (fractional):
Pm (0.0000, 0.0000, 0.0000) (multiplicity 3)
Pm (0.0000, 0.0000, 0.3411) (multiplicity 3)
Tl (0.0000, 0.0000, 0.7675) (multiplicity 3)
Cd (0.0000, 0.0000, 0.5670) (multiplicity 3)
Cd (0.0238, 0.3565, 0.3354) (multiplicity 18)
Cd (0.1716, 0.3432, 0.1525) (multiplicity 9)
Cd (0.1718, 0.3436, 0.5054) (multiplicity 9)
Cd (0.1900, 0.3799, 0.8478) (multiplicity 9)


(2)
For Pm2Tl2Cd, a cell relaxed with GGA-PBE gives the calculated X-ray powder pattern in this record (Cu Kα (λ = 1.5418 Å)).
Kinematic intensities with the Lorentz-polarization factor, no thermal factor.

Peak list (10 most intense, 10° ≤ 2θ ≤ 90°, in order of falling intensity)
31.4°, intensity 100, (1 5 0)
33.2°, intensity 73, (1 1 2)
37.4°, intensity 34, (2 0 0)
40.9°, intensity 26, (0 6 2)
33.8°, intensity 24, (0 4 2)
56.7°, intensity 20, (2 6 2)
36.3°, intensity 16, (1 3 2)
65.1°, intensity 16, (1 5 4)
51.3°, intensity 15, (2 4 2)
63.8°, intensity 13, (3 5 0)

Structure:
Cell: 4.8041 17.7241 6.6319 Å, 90.00 90.00 90.00°
Space group Cmc2_1 (No. 36)
Symmetry-distinct sites (fractional):
Pm (0.0000, 0.0043, 0.0000) (multiplicity 4)
Pm (0.0000, 0.2025, 0.4517) (multiplicity 4)
Tl (0.0000, 0.1837, 0.9418) (multiplicity 4)
Tl (0.0000, 0.4065, 0.7517) (multiplicity 4)
Cd (0.0000, 0.3942, 0.2317) (multiplicity 4)


(3)
For Pm6TlCd6, a cell relaxed with GGA-PBE gives the calculated X-ray powder pattern in this record (Cu Kα (λ = 1.5418 Å)).
Kinematic intensities with the Lorentz-polarization factor, no thermal factor.

Peak list (10 most intense, 10° ≤ 2θ ≤ 90°, in order of falling intensity)
28.9°, intensity 100, (1 1 0)
33.1°, intensity 90, (1 1 2)
37.2°, intensity 67, (2 0 2)
57.1°, intensity 46, (1 1 6)
33.6°, intensity 43, (2 0 0)
60.0°, intensity 36, (2 2 0)
31.5°, intensity 35, (0 0 4)
51.3°, intensity 35, (3 0 0)
35.8°, intensity 24, (1 0 4)
54.0°, intensity 22, (3 0 2)

Structure:
Cell: 6.1674 6.1674 11.3495 Å, 90.00 90.00 120.00°
Space group P6/mmm (No. 191)
Symmetry-distinct sites (fractional):
Pm (0.0000, 0.0000, 0.1594) (multiplicity 2)
Pm (0.3333, 0.6667, 0.0000) (multiplicity 2)
Pm (0.3333, 0.6667, 0.5000) (multiplicity 2)
Tl (0.0000, 0.0000, 0.5000) (multiplicity 1)
Cd (0.0000, 0.5000, 0.2554) (multiplicity 6)


(4)
For Pm3Tm2Cd4, a cell relaxed with GGA-PBE gives the calculated X-ray powder pattern in this record (Cu Kα (λ = 1.5418 Å)).
Kinematic intensities with the Lorentz-polarization factor, no thermal factor.

Peak list (10 most intense, 10° ≤ 2θ ≤ 90°, in order of falling intensity)
35.1°, intensity 100, (2 0 2)
28.7°, intensity 78, (1 5 1)
35.4°, intensity 58, (0 6 2)
34.6°, intensity 57, (0 2 3)
36.6°, intensity 55, (1 7 1)
30.6°, intensity 51, (2 2 1)
60.9°, intensity 51, (2 6 4)
29.3°, intensity 30, (1 3 2)
28.5°, intensity 25, (2 2 0)
36.4°, intensity 24, (1 1 3)

Structure:
Cell: 6.6185 19.5862 8.0585 Å, 90.00 90.00 90.00°
Space group Cmce (No. 64)
Symmetry-distinct sites (fractional):
Pm (0.0000, 0.0000, 0.0000) (multiplicity 4)
Pm (0.2500, 0.2459, 0.2500) (multiplicity 8)
Tm (0.0000, 0.0884, 0.6009) (multiplicity 8)
Cd (0.0000, 0.1551, 0.9775) (multiplicity 8)
Cd (0.2500, 0.0795, 0.2500) (multiplicity 8)


(5)
For Pm7Tm12Cd, a cell relaxed with GGA-PBE gives the calculated X-ray powder pattern in this record (Cu Kα (λ = 1.5418 Å)).
Kinematic intensities with the Lorentz-polarization factor, no thermal factor.

Peak list (10 most intense, 10° ≤ 2θ ≤ 90°, in order of falling intensity)
31.0°, intensity 100, (1 -2 2)
32.6°, intensity 89, (3 1 0)
31.0°, intensity 68, (-2 2 1)
32.7°, intensity 60, (1 0 -3)
30.8°, intensity 39, (2 1 2)
34.2°, intensity 30, (3 1 1)
54.1°, intensity 19, (3 -4 1)
57.3°, intensity 17, (0 5 -2)
53.6°, intensity 17, (4 3 1)
39.0°, intensity 16, (-2 1 3)

Structure:
Cell: 8.6678 8.6705 8.6787 Å, 89.57 89.62 89.73°
Space group P-1 (No. 2)
Symmetry-distinct sites (fractional):
Pm (0.0000, 0.0000, 0.0000) (multiplicity 1)
Pm (0.1192, 0.7156, 0.2671) (multiplicity 2)
Pm (0.2666, 0.1189, 0.7161) (multiplicity 2)
Pm (0.2837, 0.7327, 0.8813) (multiplicity 2)
Tm (0.0379, 0.1602, 0.3775) (multiplicity 2)
Tm (0.1610, 0.3782, 0.0386) (multiplicity 2)
Tm (0.1686, 0.4945, 0.6055) (multiplicity 2)
Tm (0.3779, 0.0384, 0.1608) (multiplicity 2)
Tm (0.3945, 0.8311, 0.5052) (multiplicity 2)
Tm (0.4948, 0.6058, 0.1688) (multiplicity 2)
Cd (0.5000, 0.5000, 0.5000) (multiplicity 1)


(6)
For Pm4TmCd5, a cell relaxed with GGA-PBE gives the calculated X-ray powder pattern in this record (Cu Kα (λ = 1.5418 Å)).
Kinematic intensities with the Lorentz-polarization factor, no thermal factor.

Peak list (10 most intense, 10° ≤ 2θ ≤ 90°, in order of falling intensity)
33.2°, intensity 100, (1 0 5)
33.5°, intensity 50, (1 1 0)
59.7°, intensity 36, (2 1 5)
48.1°, intensity 18, (2 0 0)
59.2°, intensity 18, (1 1 10)
69.7°, intensity 11, (2 0 10)
47.3°, intensity 9, (0 0 10)
80.2°, intensity 8, (3 1 0)
80.0°, intensity 8, (3 0 5)
78.9°, intensity 7, (1 0 15)

Structure:
Cell: 3.7858 3.7858 19.2234 Å, 90.00 90.00 90.00°
Space group P4/mmm (No. 123)
Symmetry-distinct sites (fractional):
Pm (0.0000, 0.0000, 0.1016) (multiplicity 2)
Pm (0.0000, 0.0000, 0.3045) (multiplicity 2)
Tm (0.0000, 0.0000, 0.5000) (multiplicity 1)
Cd (0.5000, 0.5000, 0.0000) (multiplicity 1)
Cd (0.5000, 0.5000, 0.2025) (multiplicity 2)
Cd (0.5000, 0.5000, 0.4085) (multiplicity 2)


(7)
For Pm3Tm2Cd2, a cell relaxed with GGA-PBE gives the calculated X-ray powder pattern in this record (Cu Kα (λ = 1.5418 Å)).
Kinematic intensities with the Lorentz-polarization factor, no thermal factor.

Peak list (10 most intense, 10° ≤ 2θ ≤ 90°, in order of falling intensity)
33.0°, intensity 100, (1 1 0)
32.3°, intensity 92, (1 0 7)
58.4°, intensity 33, (2 1 7)
46.8°, intensity 32, (0 2 7)
58.9°, intensity 19, (3 0 0)
57.1°, intensity 18, (0 1 14)
78.4°, intensity 14, (1 3 7)
77.2°, intensity 12, (1 2 14)
69.2°, intensity 12, (2 2 0)
26.5°, intensity 9, (0 1 5)

Structure:
Cell: 5.4311 5.4311 24.0561 Å, 90.00 90.00 120.00°
Space group R-3m (No. 166, hexagonal axes)
Symmetry-distinct sites (fractional):
Pm (0.0000, 0.0000, 0.0000) (multiplicity 3)
Pm (0.0000, 0.0000, 0.1584) (multiplicity 6)
Tm (0.0000, 0.0000, 0.4269) (multiplicity 6)
Cd (0.0000, 0.0000, 0.2896) (multiplicity 6)


(8)
For Pm2Tm3Cd4, a cell relaxed with GGA-PBE gives the calculated X-ray powder pattern in this record (Cu Kα (λ = 1.5418 Å)).
Kinematic intensities with the Lorentz-polarization factor, no thermal factor.

Peak list (10 most intense, 10° ≤ 2θ ≤ 90°, in order of falling intensity)
34.4°, intensity 100, (2 0 2)
29.8°, intensity 52, (1 5 1)
36.7°, intensity 45, (0 6 2)
61.1°, intensity 37, (2 6 4)
30.2°, intensity 31, (2 2 1)
38.4°, intensity 28, (1 7 1)
39.7°, intensity 28, (2 6 0)
71.5°, intensity 20, (2 12 2)
29.2°, intensity 20, (0 6 0)
35.9°, intensity 19, (1 1 3)

Structure:
Cell: 6.7729 18.3501 8.1600 Å, 90.00 90.00 90.00°
Space group Cmce (No. 64)
Symmetry-distinct sites (fractional):
Pm (0.0000, 0.0928, 0.1011) (multiplicity 8)
Tm (0.0000, 0.0000, 0.5000) (multiplicity 4)
Tm (0.2500, 0.2457, 0.7500) (multiplicity 8)
Cd (0.0000, 0.1631, 0.4854) (multiplicity 8)
Cd (0.2500, 0.0746, 0.7500) (multiplicity 8)


(9)
For PmTmCd14, a cell relaxed with GGA-PBE gives the calculated X-ray powder pattern in this record (Cu Kα (λ = 1.5418 Å)).
Kinematic intensities with the Lorentz-polarization factor, no thermal factor.

Peak list (10 most intense, 10° ≤ 2θ ≤ 90°, in order of falling intensity)
34.3°, intensity 100, (2 0 2)
38.5°, intensity 37, (2 2 0)
67.0°, intensity 27, (4 2 2)
58.7°, intensity 20, (2 2 4)
42.5°, intensity 13, (0 0 4)
55.5°, intensity 12, (4 0 0)
72.4°, intensity 10, (4 0 4)
72.6°, intensity 10, (2 0 6)
82.4°, intensity 4, (4 4 0)
29.0°, intensity 1, (2 0 1)

Structure:
Cell: 6.6174 6.6174 8.5033 Å, 90.00 90.00 90.00°
Space group P4/mmm (No. 123)
Symmetry-distinct sites (fractional):
Pm (0.0000, 0.0000, 0.0000) (multiplicity 1)
Tm (0.5000, 0.5000, 0.0000) (multiplicity 1)
Cd (0.0000, 0.0000, 0.5000) (multiplicity 1)
Cd (0.0000, 0.5000, 0.0000) (multiplicity 2)
Cd (0.0000, 0.5000, 0.5000) (multiplicity 2)
Cd (0.2532, 0.2532, 0.2588) (multiplicity 8)
Cd (0.5000, 0.5000, 0.5000) (multiplicity 1)


(10)
For Pm7TmCd2, a cell relaxed with GGA-PBE gives the calculated X-ray powder pattern in this record (Cu Kα (λ = 1.5418 Å)).
Kinematic intensities with the Lorentz-polarization factor, no thermal factor.

Peak list (10 most intense, 10° ≤ 2θ ≤ 90°, in order of falling intensity)
33.9°, intensity 100, (0 0 2)
34.7°, intensity 47, (3 1 1)
29.6°, intensity 44, (2 4 0)
27.7°, intensity 32, (0 4 1)
45.6°, intensity 27, (2 4 2)
16.7°, intensity 24, (0 0 1)
61.3°, intensity 18, (5 5 1)
62.6°, intensity 17, (3 9 1)
20.2°, intensity 17, (1 1 1)
25.9°, intensity 15, (2 0 1)

Structure:
Cell: 9.0223 16.2312 5.2962 Å, 90.00 90.00 90.00°
Space group Cmmm (No. 65)
Symmetry-distinct sites (fractional):
Pm (0.0000, 0.0000, 0.0000) (multiplicity 2)
Pm (0.0000, 0.2797, 0.5000) (multiplicity 4)
Pm (0.1832, 0.3843, 0.0000) (multiplicity 8)
Tm (0.0000, 0.5000, 0.5000) (multiplicity 2)
Cd (0.0000, 0.1965, 0.0000) (multiplicity 4)


(11)
For Pm6Tm3Cd, a cell relaxed with GGA-PBE gives the calculated X-ray powder pattern in this record (Cu Kα (λ = 1.5418 Å)).
Kinematic intensities with the Lorentz-polarization factor, no thermal factor.

Peak list (10 most intense, 10° ≤ 2θ ≤ 90°, in order of falling intensity)
30.8°, intensity 100, (3 1 -1)
35.4°, intensity 17, (0 2 0)
35.2°, intensity 17, (2 0 -4)
36.5°, intensity 16, (4 0 2)
60.7°, intensity 14, (3 3 -1)
60.5°, intensity 14, (5 1 -5)
50.8°, intensity 12, (2 2 -4)
64.2°, intensity 12, (6 2 -2)
51.8°, intensity 12, (4 2 2)
51.7°, intensity 11, (6 0 -2)

Structure:
Cell: 11.0831 5.0704 11.3051 Å, 90.00 91.63 90.00°
Space group P2_1/m (No. 11)
Symmetry-distinct sites (fractional):
Pm (0.0469, 0.2500, 0.3951) (multiplicity 2)
Pm (0.1428, 0.7500, 0.1876) (multiplicity 2)
Pm (0.1533, 0.2500, 0.6923) (multiplicity 2)
Pm (0.2410, 0.2500, 0.9959) (multiplicity 2)
Pm (0.3477, 0.7500, 0.7992) (multiplicity 2)
Pm (0.4499, 0.2500, 0.6022) (multiplicity 2)
Tm (0.2488, 0.7500, 0.4930) (multiplicity 2)
Tm (0.3487, 0.2500, 0.2943) (multiplicity 2)
Tm (0.4497, 0.7500, 0.0996) (multiplicity 2)
Cd (0.0498, 0.7500, 0.8975) (multiplicity 2)


(12)
For Pm3Y2Cd3, a cell relaxed with GGA-PBE gives the calculated X-ray powder pattern in this record (Cu Kα (λ = 1.5418 Å)).
Kinematic intensities with the Lorentz-polarization factor, no thermal factor.

Peak list (10 most intense, 10° ≤ 2θ ≤ 90°, in order of falling intensity)
32.9°, intensity 100, (1 1 4)
32.6°, intensity 26, (0 2 0)
31.8°, intensity 25, (0 0 8)
58.4°, intensity 19, (1 3 4)
46.2°, intensity 17, (0 2 8)
57.3°, intensity 15, (1 1 12)
68.9°, intensity 10, (2 2 8)
59.4°, intensity 9, (2 2 0)
48.1°, intensity 9, (2 0 0)
58.8°, intensity 8, (2 0 8)

Structure:
Cell: 3.7823 5.4882 22.5058 Å, 90.00 90.00 90.00°
Space group Immm (No. 71)
Symmetry-distinct sites (fractional):
Pm (0.0000, 0.0000, 0.0000) (multiplicity 2)
Pm (0.0000, 0.5000, 0.1230) (multiplicity 4)
Y (0.0000, 0.0000, 0.2339) (multiplicity 4)
Cd (0.0000, 0.0000, 0.5000) (multiplicity 2)
Cd (0.0000, 0.5000, 0.3803) (multiplicity 4)